Theoretical PXRD pattern of Pr4SmY4 for Cu Kα X-rays, from a structure optimized by DFT (PBE).
Lines closer than 0.1° are merged.

Crystal structure
```
data_Pr4SmY4
_cell_length_a 10.9313
_cell_length_b 10.9313
_cell_length_c 5.1444
_cell_angle_alpha 90.00
_cell_angle_beta 90.00
_cell_angle_gamma 90.00
_symmetry_space_group_name_H-M 'I 4/m m m'
_symmetry_Int_Tables_number 139
_symmetry_space_group_name_Hall '-I 4 2'
loop_
_atom_site_label
_atom_site_type_symbol
_atom_site_fract_x
_atom_site_fract_y
_atom_site_fract_z
Pr1 Pr 0.0000 0.3312 0.0000
Sm1 Sm 0.0000 0.0000 0.0000
Y1 Y 0.1660 0.1660 0.5000
```

Main lines, sorted by position (2θ from 5° to 70°):
| Position (°2θ) | I (rel.) | hkl |
| --- | --- | --- |
| 16.2 | 2 | 2 0 0 |
| 19.1 | 3 | 1 0 1 |
| 25.8 | 2 | 3 1 0 |
| 30.1 | 100 | 3 0 1 |
| 34.3 | 1 | 3 2 1 |
| 34.8 | 50 | 3 3 0 |
| 43.9 | 1 | 3 1 2 |
| 45.1 | 1 | 4 3 1 |
| 50.1 | 36 | 6 0 0 |
| 54.1 | 1 | 1 0 3 |
| 59.5 | 42 | 6 3 1 |
| 62.5 | 12 | 6 0 2 |

=====

Theoretical PXRD pattern of Ce2Si3Ni for Cu Kα X-rays, from a structure optimized by DFT (PBE).
Lines closer than 0.1° are merged.

Crystal structure
```
data_Ce2Si3Ni
_cell_length_a 4.0649
_cell_length_b 4.0649
_cell_length_c 8.0189
_cell_angle_alpha 90.00
_cell_angle_beta 90.00
_cell_angle_gamma 120.00
_symmetry_space_group_name_H-M 'P -6 m 2'
_symmetry_Int_Tables_number 187
_symmetry_space_group_name_Hall 'P -6 2'
loop_
_atom_site_label
_atom_site_type_symbol
_atom_site_fract_x
_atom_site_fract_y
_atom_site_fract_z
Ce1 Ce 0.0000 0.0000 0.2419
Si1 Si 0.3333 0.6667 0.5000
Si2 Si 0.6667 0.3333 0.0000
Si3 Si 0.6667 0.3333 0.5000
Ni1 Ni 0.3333 0.6667 0.0000
```

Main lines, sorted by position (2θ from 5° to 70°):
| Position (°2θ) | I (rel.) | hkl |
| --- | --- | --- |
| 11.0 | 4 | 0 0 1 |
| 22.2 | 6 | 0 0 2 |
| 25.3 | 35 | 1 0 0 |
| 33.9 | 100 | 1 0 2 |
| 42.5 | 2 | 1 0 3 |
| 44.6 | 34 | 1 1 0 |
| 45.2 | 10 | 0 0 4 |
| 50.3 | 4 | 1 1 2 |
| 52.0 | 5 | 2 0 0 |
| 52.5 | 9 | 1 0 4 |
| 57.2 | 22 | 2 0 2 |
| 65.4 | 21 | 1 1 4 |

=====

Theoretical PXRD pattern of Si2H2O3 for Cu Kα X-rays, from a structure optimized by DFT (PBE).
Lines closer than 0.1° are merged.

Crystal structure
```
data_Si2H2O3
_cell_length_a 9.5048
_cell_length_b 9.5048
_cell_length_c 16.1669
_cell_angle_alpha 90.00
_cell_angle_beta 90.00
_cell_angle_gamma 120.00
_symmetry_space_group_name_H-M 'R -3'
_symmetry_Int_Tables_number 148
_symmetry_space_group_name_Hall '-R 3'
loop_
_atom_site_label
_atom_site_type_symbol
_atom_site_fract_x
_atom_site_fract_y
_atom_site_fract_z
Si1 Si 0.0000 0.0000 0.1685
Si2 Si 0.0259 0.5580 0.7228
H1 H 0.0000 0.0000 0.2594
H2 H 0.0275 0.1931 0.5804
O1 O 0.0267 0.4198 0.6627
O2 O 0.0742 0.8873 0.1354
```

Main lines, sorted by position (2θ from 5° to 70°):
| Position (°2θ) | I (rel.) | hkl |
| --- | --- | --- |
| 12.1 | 100 | 1 0 1 |
| 15.4 | 9 | 0 1 2 |
| 24.3 | 88 | 2 0 2 |
| 24.5 | 14 | 1 0 4 |
| 25.0 | 68 | 2 -1 3 |
| 29.2 | 8 | 3 -1 1 |
| 37.9 | 7 | 2 2 0 |
| 39.9 | 9 | 4 -3 1 |
| 48.8 | 15 | 4 -1 5 |
| 53.8 | 6 | 1 4 3 |
| 61.0 | 6 | 6 -3 3 |
| 62.1 | 6 | 5 -1 6 |

=====

Copy entry 3 word for word.
Theoretical PXRD pattern of Si2H2O3 for Cu Kα X-rays, from a structure optimized by DFT (PBE).
Lines closer than 0.1° are merged.

Crystal structure
```
data_Si2H2O3
_cell_length_a 9.5048
_cell_length_b 9.5048
_cell_length_c 16.1669
_cell_angle_alpha 90.00
_cell_angle_beta 90.00
_cell_angle_gamma 120.00
_symmetry_space_group_name_H-M 'R -3'
_symmetry_Int_Tables_number 148
_symmetry_space_group_name_Hall '-R 3'
loop_
_atom_site_label
_atom_site_type_symbol
_atom_site_fract_x
_atom_site_fract_y
_atom_site_fract_z
Si1 Si 0.0000 0.0000 0.1685
Si2 Si 0.0259 0.5580 0.7228
H1 H 0.0000 0.0000 0.2594
H2 H 0.0275 0.1931 0.5804
O1 O 0.0267 0.4198 0.6627
O2 O 0.0742 0.8873 0.1354
```

Main lines, sorted by position (2θ from 5° to 70°):
| Position (°2θ) | I (rel.) | hkl |
| --- | --- | --- |
| 12.1 | 100 | 1 0 1 |
| 15.4 | 9 | 0 1 2 |
| 24.3 | 88 | 2 0 2 |
| 24.5 | 14 | 1 0 4 |
| 25.0 | 68 | 2 -1 3 |
| 29.2 | 8 | 3 -1 1 |
| 37.9 | 7 | 2 2 0 |
| 39.9 | 9 | 4 -3 1 |
| 48.8 | 15 | 4 -1 5 |
| 53.8 | 6 | 1 4 3 |
| 61.0 | 6 | 6 -3 3 |
| 62.1 | 6 | 5 -1 6 |

=====

- Number 2 is which compound?
  Ce2Si3Ni